1.
TbAu: computed X-ray diffraction stick pattern (Cu Kα, 1.54184 Å), based on a crystal structure in the Materials Project, relaxed with GGA-PBE.
No peak broadening, texture or thermal motion is included.

Peak list (6 most intense, 2θ from 5° to 70°, by angle)
(hkl)  Position (°2θ)  d (Å)  intensity
1 0 0  24.6  3.622  1
1 1 0  35.0  2.561  100
1 1 1  43.3  2.091  1
2 0 0  50.4  1.811  18
2 1 0  56.8  1.620  1
2 1 1  62.8  1.479  37

Cell and atoms:
Unit cell a=3.622 b=3.622 c=3.622 alpha=90.00 beta=90.00 gamma=90.00
Space group Pm-3m (No. 221)
One atom of each set of equivalent atoms:
Tb 0.000 0.000 0.000 [1 per cell]
Au 0.500 0.500 0.500 [1 per cell]

2.
TbAu6: computed X-ray diffraction stick pattern (Cu Kα, 1.54184 Å), based on a crystal structure in the Materials Project, relaxed with GGA-PBE.
No peak broadening, texture or thermal motion is included.

Peak list (10 most intense, 2θ from 5° to 70°, by angle)
(hkl)  Position (°2θ)  d (Å)  intensity
2 1 3  33.1  2.705  18
3 3 0  36.2  2.482  25
4 1 1  36.3  2.474  56
3 3 1  37.3  2.410  100
3 1 3  38.4  2.346  40
4 0 2  38.7  2.326  27
4 1 2  39.7  2.271  84
3 2 3  41.2  2.190  20
7 2 1  65.1  1.432  20
1 1 7  67.3  1.392  15

Cell and atoms:
Unit cell a=10.534 b=10.534 c=9.914 alpha=90.00 beta=90.00 gamma=90.00
Space group P4_2/ncm (No. 138, origin choice 2)
One atom of each set of equivalent atoms:
Tb 0.076 0.076 0.212 [8 per cell]
Au 0.000 0.000 0.500 [4 per cell]
Au 0.013 0.680 0.579 [16 per cell]
Au 0.123 0.700 0.856 [16 per cell]
Au 0.147 0.147 0.679 [8 per cell]
Au 0.250 0.250 0.433 [4 per cell]

3.
TbAu2: computed X-ray diffraction stick pattern (Cu Kα, 1.54184 Å), based on a crystal structure in the Materials Project, relaxed with GGA-PBE.
No peak broadening, texture or thermal motion is included.

Peak list (6 most intense, 2θ from 5° to 70°, by angle)
(hkl)  Position (°2θ)  d (Å)  intensity
1 0 1  25.6  3.481  2
1 1 0  33.7  2.663  69
1 0 3  38.1  2.365  100
2 0 0  48.3  1.883  25
0 0 6  61.0  1.519  6
2 1 3  63.1  1.473  46

Cell and atoms:
Unit cell a=3.766 b=3.766 c=9.116 alpha=90.00 beta=90.00 gamma=90.00
Space group I4/mmm (No. 139)
One atom of each set of equivalent atoms:
Tb 0.000 0.000 0.000 [2 per cell]
Au 0.000 0.000 0.334 [4 per cell]

4.
Te3Au: computed X-ray diffraction stick pattern (Cu Kα, 1.54184 Å), based on a crystal structure in the Materials Project, relaxed with GGA-PBE.
No peak broadening, texture or thermal motion is included.

Peak list (10 most intense, 2θ from 5° to 70°, by angle)
(hkl)  Position (°2θ)  d (Å)  intensity
0 0 1  7.0  12.685  61
0 0 4  28.1  3.171  32
1 0 0  28.5  3.132  100
1 0 4  40.5  2.228  48
1 1 0  40.7  2.214  38
1 0 5  46.0  1.971  16
1 1 4  50.3  1.816  26
2 0 0  59.0  1.566  13
2 0 4  66.6  1.404  12
2 1 0  66.8  1.401  18

Cell and atoms:
Unit cell a=3.132 b=3.132 c=12.685 alpha=90.00 beta=90.00 gamma=90.00
Space group P4/mmm (No. 123)
One atom of each set of equivalent atoms:
Te 0.000 0.000 0.000 [1 per cell]
Te 0.000 0.000 0.292 [2 per cell]
Au 0.000 0.000 0.500 [1 per cell]

5.
Te3Au2: computed X-ray diffraction stick pattern (Cu Kα, 1.54184 Å), based on a crystal structure in the Materials Project, relaxed with GGA-PBE.
No peak broadening, texture or thermal motion is included.

Peak list (10 most intense, 2θ from 5° to 70°, by angle)
(hkl)  Position (°2θ)  d (Å)  intensity
2 2 1  29.9  2.986  96
0 3 -4  30.0  2.981  100
-3 2 2  30.3  2.953  95
2 5 -3  42.5  2.125  32
5 0 -1  42.6  2.121  32
3 1 -6  43.0  2.101  33
2 -1 5  43.2  2.095  72
-1 4 3  43.5  2.079  34
5 -3 3  53.3  1.718  19
-1 1 7  54.0  1.699  18

Cell and atoms:
Unit cell a=10.784 b=12.264 c=13.594 alpha=109.47 beta=104.25 gamma=96.61
Space group P1 (No. 1)
One atom of each set of equivalent atoms:
Te 0.000 0.000 0.000 [1 per cell]
Te 0.001 0.673 0.722 [1 per cell]
Te 0.028 0.124 0.843 [1 per cell]
Te 0.053 0.340 0.242 [1 per cell]
Te 0.072 0.458 0.091 [1 per cell]
Te 0.128 0.799 0.341 [1 per cell]
Te 0.159 0.132 0.609 [1 per cell]
Te 0.167 0.433 0.829 [1 per cell]
Te 0.230 0.892 0.892 [1 per cell]
Te 0.253 0.734 0.060 [1 per cell]
Te 0.259 0.081 0.316 [1 per cell]
Te 0.294 0.217 0.145 [1 per cell]
Te 0.320 0.404 0.562 [1 per cell]
Te 0.325 0.559 0.403 [1 per cell]
Te 0.358 0.891 0.643 [1 per cell]
Te 0.390 0.730 0.798 [1 per cell]
Te 0.425 0.214 0.894 [1 per cell]
Te 0.453 0.498 0.118 [1 per cell]
Te 0.475 0.953 0.206 [1 per cell]
Te 0.499 0.813 0.371 [1 per cell]
Te 0.541 0.165 0.621 [1 per cell]
Te 0.563 0.304 0.460 [1 per cell]
Te 0.588 0.487 0.860 [1 per cell]
Te 0.606 0.627 0.705 [1 per cell]
Te 0.616 0.970 0.952 [1 per cell]
Te 0.647 0.814 0.124 [1 per cell]
Te 0.666 0.251 0.197 [1 per cell]
Te 0.712 0.581 0.415 [1 per cell]
Te 0.751 0.900 0.687 [1 per cell]
Te 0.759 0.077 0.535 [1 per cell]
Te 0.788 0.245 0.930 [1 per cell]
Te 0.838 0.568 0.187 [1 per cell]
Te 0.873 0.714 0.011 [1 per cell]
Te 0.888 0.057 0.275 [1 per cell]
Te 0.915 0.895 0.441 [1 per cell]
Te 0.964 0.376 0.506 [1 per cell]
Au 0.012 0.565 0.915 [1 per cell]
Au 0.065 0.895 0.167 [1 per cell]
Au 0.110 0.228 0.412 [1 per cell]
Au 0.135 0.673 0.489 [1 per cell]
Au 0.175 0.556 0.646 [1 per cell]
Au 0.183 0.996 0.740 [1 per cell]
Au 0.229 0.319 0.984 [1 per cell]
Au 0.280 0.645 0.230 [1 per cell]
Au 0.329 0.986 0.478 [1 per cell]
Au 0.378 0.309 0.727 [1 per cell]
Au 0.432 0.627 0.964 [1 per cell]
Au 0.442 0.073 0.047 [1 per cell]
Au 0.492 0.401 0.295 [1 per cell]
Au 0.540 0.728 0.544 [1 per cell]
Au 0.587 0.060 0.784 [1 per cell]
Au 0.640 0.387 0.036 [1 per cell]
Au 0.685 0.714 0.283 [1 per cell]
Au 0.707 0.159 0.363 [1 per cell]
Au 0.795 0.370 0.787 [1 per cell]
Au 0.801 0.811 0.854 [1 per cell]
Au 0.846 0.140 0.099 [1 per cell]
Au 0.903 0.474 0.347 [1 per cell]
Au 0.955 0.789 0.586 [1 per cell]
Au 0.964 0.252 0.684 [1 per cell]